The following is a computed powder XRD pattern of TbPmPr2Er5. It was derived from a cell relaxed with PBE, using Cu Ka.
No peak broadening, texture or thermal motion is included.

Main lines, by intensity (2θ from 5° to 70°):
hkl 2 0 4, 2θ = 30.9°, intensity 100
hkl 2 2 0, 2θ = 29.1°, intensity 52
hkl 2 1 3, 2θ = 28.7°, intensity 45
hkl 4 2 4, 2θ = 52.7°, intensity 23
hkl 4 0 2, 2θ = 43.3°, intensity 19
hkl 0 0 6, 2θ = 34.6°, intensity 15

Crystal structure
a = 8.684 Å, b = 8.684 Å, c = 15.566 Å
α = 90.00°, β = 90.00°, γ = 90.00°
Space group I4/mcm (No. 140)
One atom of each set of equivalent atoms:
Tb: 0.000 0.500 0.250 [4 per cell]
Pm: 0.000 0.000 0.250 [4 per cell]
Pr: 0.118 0.382 0.000 [8 per cell]
Er: 0.000 0.000 0.000 [4 per cell]
Er: 0.211 0.289 0.361 [16 per cell]